Calculated powder diffraction line list
Compound: TaTlSe3
Radiation: Cu Kα
Structure: a DFT-relaxed cell (GGA-PBE, Alexandria)

Main lines, in order of rising 2θ (2θ = 10–90°):
Position (°2θ), I (rel.), h k l
14.72, 50, 1 0 2
19.69, 38, 1 0 3
30.73, 41, 1 0 5
31.04, 100, 2 1 1
38.48, 42, 0 1 5
44.09, 56, 3 1 4

Crystal structure
```
data_TaTlSe3
_chemical_formula_sum 'Ta4 Tl4 Se12'
_cell_length_a 9.8199
_cell_length_b 3.6594
_cell_length_c 15.2289
_cell_angle_alpha 90.00
_cell_angle_beta 90.00
_cell_angle_gamma 90.00
_space_group_name_H-M_alt 'P n m a'
_space_group_IT_number 62
loop_
_space_group_symop_operation_xyz
'x,y,z'
'-x,-y,-z'
'-x+1/2,-y,z+1/2'
'x+1/2,y,-z+1/2'
'x+1/2,-y+1/2,-z+1/2'
'-x+1/2,y+1/2,z+1/2'
'-x,y+1/2,-z'
'x,-y+1/2,z'
loop_
_atom_site_label
_atom_site_fract_x
_atom_site_fract_y
_atom_site_fract_z
Ta1 0.1589 0.2500 0.0725
Tl1 0.0011 0.7500 0.3286
Se1 0.0278 0.2500 0.9030
Se2 0.1891 0.2500 0.5013
Se3 0.2455 0.2500 0.2197
```

Calculated powder diffraction line list
Compound: TaTl4Se5
Radiation: Cu Kα
Structure: a DFT-relaxed cell (GGA-PBE, Alexandria)

Main lines, in order of rising 2θ (2θ = 10–90°):
Position (°2θ), I (rel.), h k l
24.67, 73, 1 2 1
27.58, 57, 0 0 2
29.04, 100, 3 1 0
40.48, 71, 3 1 2
41.54, 32, 2 4 0
48.91, 35, 4 3 1

Crystal structure
```
data_TaTl4Se5
_chemical_formula_sum 'Ta2 Tl8 Se10'
_cell_length_a 9.7222
_cell_length_b 9.7222
_cell_length_c 6.4686
_cell_angle_alpha 90.00
_cell_angle_beta 90.00
_cell_angle_gamma 90.00
_space_group_name_H-M_alt 'I 4'
_space_group_IT_number 79
loop_
_space_group_symop_operation_xyz
'x,y,z'
'-y,x,z'
'-x,-y,z'
'y,-x,z'
'x+1/2,y+1/2,z+1/2'
'-y+1/2,x+1/2,z+1/2'
'-x+1/2,-y+1/2,z+1/2'
'y+1/2,-x+1/2,z+1/2'
loop_
_atom_site_label
_atom_site_fract_x
_atom_site_fract_y
_atom_site_fract_z
Ta1 0.0000 0.0000 0.0000
Tl1 0.0984 0.6891 0.4028
Se1 0.0000 0.0000 0.3739
Se2 0.0930 0.7598 0.9166
```

Calculated powder diffraction line list
Compound: Ta3VSe6
Radiation: Cu Kα
Structure: a DFT-relaxed cell (GGA-PBE, Alexandria)

Main lines, in order of rising 2θ (2θ = 10–90°):
Position (°2θ), I (rel.), h k l
13.74, 73, 0 0 2
30.45, 27, 1 1 1
32.79, 68, 1 1 2
41.00, 100, 1 1 4
52.57, 40, 3 0 0
81.39, 22, 3 0 8

Crystal structure
```
data_Ta3VSe6
_chemical_formula_sum 'Ta6 V2 Se12'
_cell_length_a 6.0303
_cell_length_b 6.0303
_cell_length_c 12.8870
_cell_angle_alpha 90.00
_cell_angle_beta 90.00
_cell_angle_gamma 120.00
_space_group_name_H-M_alt 'P 63 2 2'
_space_group_IT_number 182
_space_group_name_Hall 'P 6c 2c'
loop_
_atom_site_label
_atom_site_fract_x
_atom_site_fract_y
_atom_site_fract_z
Ta1 0.0000 0.0000 0.0000
Ta2 0.3333 0.6667 0.0003
V1 0.3333 0.6667 0.2500
Se1 0.0036 0.3331 0.8700
```

Calculated powder diffraction line list
Compound: TaVSe6
Radiation: Cu Kα
Structure: a DFT-relaxed cell (GGA-PBE, Alexandria)

Main lines, in order of rising 2θ (2θ = 10–90°):
Position (°2θ), I (rel.), h k l
18.85, 100, 1 1 0
30.21, 37, 1 1 -1
30.33, 63, 1 -1 1
35.02, 46, 1 2 2
38.23, 35, 2 0 2
49.78, 25, 0 3 1

Crystal structure
```
data_TaVSe6
_chemical_formula_sum 'Ta1 V1 Se6'
_cell_length_a 6.1717
_cell_length_b 6.3387
_cell_length_c 6.3850
_cell_angle_alpha 69.87
_cell_angle_beta 61.84
_cell_angle_gamma 61.70
_space_group_name_H-M_alt 'P -1'
_space_group_IT_number 2
loop_
_space_group_symop_operation_xyz
'x,y,z'
'-x,-y,-z'
loop_
_atom_site_label
_atom_site_fract_x
_atom_site_fract_y
_atom_site_fract_z
Ta1 0.0000 0.0000 0.0000
V1 0.5000 0.5000 0.5000
Se1 0.0549 0.7448 0.7428
Se2 0.3389 0.6215 0.1643
Se3 0.3787 0.1308 0.6584
```

Calculated powder diffraction line list
Compound: Ta2WSe
Radiation: Cu Kα
Structure: a DFT-relaxed cell (GGA-PBE, Alexandria)

Main lines, in order of rising 2θ (2θ = 10–90°):
Position (°2θ), I (rel.), h k l
38.02, 100, 1 1 2
41.79, 41, 2 0 0
48.69, 16, 0 0 4
60.57, 14, 2 2 0
66.07, 22, 2 0 4
73.79, 29, 3 1 2

Crystal structure
```
data_Ta2WSe
_chemical_formula_sum 'Ta4 W2 Se2'
_cell_length_a 4.3237
_cell_length_b 4.3237
_cell_length_c 7.4788
_cell_angle_alpha 90.00
_cell_angle_beta 90.00
_cell_angle_gamma 90.00
_space_group_name_H-M_alt 'I 4/m m m'
_space_group_IT_number 139
_space_group_name_Hall '-I 4 2'
loop_
_atom_site_label
_atom_site_fract_x
_atom_site_fract_y
_atom_site_fract_z
Ta1 0.0000 0.5000 0.2500
W1 0.0000 0.0000 0.0000
Se1 0.0000 0.0000 0.5000
```

Calculated powder diffraction line list
Compound: TaZn2Se
Radiation: Cu Kα
Structure: a DFT-relaxed cell (GGA-PBE, Alexandria)

Main lines, in order of rising 2θ (2θ = 10–90°):
Position (°2θ), I (rel.), h k l
18.58, 28, 2 0 0
37.68, 58, 4 0 0
39.71, 100, 1 1 1
39.87, 99, 3 1 -1
41.23, 45, 2 0 -2
69.60, 20, 7 1 -1

Crystal structure
```
data_TaZn2Se
_chemical_formula_sum 'Ta2 Zn4 Se2'
_cell_length_a 10.4741
_cell_length_b 3.1809
_cell_length_c 4.3792
_cell_angle_alpha 90.00
_cell_angle_beta 114.26
_cell_angle_gamma 90.00
_space_group_name_H-M_alt 'C 1 2/m 1'
_space_group_IT_number 12
loop_
_space_group_symop_operation_xyz
'x,y,z'
'-x,-y,-z'
'-x,y,-z'
'x,-y,z'
'x+1/2,y+1/2,z'
'-x+1/2,-y+1/2,-z'
'-x+1/2,y+1/2,-z'
'x+1/2,-y+1/2,z'
loop_
_atom_site_label
_atom_site_fract_x
_atom_site_fract_y
_atom_site_fract_z
Ta1 0.0000 0.0000 0.0000
Zn1 0.2442 0.0000 0.7446
Se1 0.0000 0.5000 0.5000
```

Calculated powder diffraction line list
Compound: Tb3Se4
Radiation: Cu Kα
Structure: a DFT-relaxed cell (GGA-PBE, Alexandria)

Main lines, in order of rising 2θ (2θ = 10–90°):
Position (°2θ), I (rel.), h k l
17.20, 32, 1 0 1
30.98, 100, 2 0 0
31.27, 49, 0 0 4
44.38, 37, 2 2 0
44.59, 73, 2 0 4
55.29, 38, 2 2 4

Crystal structure
```
data_Tb3Se4
_chemical_formula_sum 'Tb6 Se8'
_cell_length_a 5.7740
_cell_length_b 5.7740
_cell_length_c 11.4407
_cell_angle_alpha 90.00
_cell_angle_beta 90.00
_cell_angle_gamma 90.00
_space_group_name_H-M_alt 'I 4/m m m'
_space_group_IT_number 139
_space_group_name_Hall '-I 4 2'
loop_
_atom_site_label
_atom_site_fract_x
_atom_site_fract_y
_atom_site_fract_z
Tb1 0.0000 0.0000 0.0000
Tb2 0.0000 0.5000 0.2500
Se1 0.0000 0.0000 0.2528
Se2 0.0000 0.5000 0.0000
```

Calculated powder diffraction line list
Compound: Tb3Se2
Radiation: Cu Kα
Structure: a DFT-relaxed cell (GGA-PBE, Alexandria)

Main lines, in order of rising 2θ (2θ = 10–90°):
Position (°2θ), I (rel.), h k l
28.98, 100, 1 1 3
37.53, 47, 1 1 6
45.08, 36, 3 0 0
48.95, 24, 1 1 9
54.49, 17, 2 2 3
74.34, 16, 3 0 12

Crystal structure
```
data_Tb3Se2
_chemical_formula_sum 'Tb18 Se12'
_cell_length_a 6.9668
_cell_length_b 6.9668
_cell_length_c 19.8110
_cell_angle_alpha 90.00
_cell_angle_beta 90.00
_cell_angle_gamma 120.00
_space_group_name_H-M_alt 'R -3 c'
_space_group_IT_number 167
_space_group_name_Hall '-R 3 2"c'
loop_
_atom_site_label
_atom_site_fract_x
_atom_site_fract_y
_atom_site_fract_z
Tb1 0.0000 0.3315 0.2500
Se1 0.0000 0.0000 0.1632
```

Calculated powder diffraction line list
Compound: Tb3Te2Se
Radiation: Cu Kα
Structure: a DFT-relaxed cell (GGA-PBE, Alexandria)

Main lines, in order of rising 2θ (2θ = 10–90°):
Position (°2θ), I (rel.), h k l
29.34, 100, 1 0 3
29.69, 53, 0 2 0
42.23, 74, 1 2 3
42.50, 20, 2 0 0
52.69, 21, 2 2 0
69.71, 17, 1 4 3

Crystal structure
```
data_Tb3Te2Se
_chemical_formula_sum 'Tb6 Te4 Se2'
_cell_length_a 4.2544
_cell_length_b 6.0190
_cell_length_c 13.0687
_cell_angle_alpha 90.00
_cell_angle_beta 90.00
_cell_angle_gamma 90.00
_space_group_name_H-M_alt 'I m m m'
_space_group_IT_number 71
_space_group_name_Hall '-I 2 2'
loop_
_atom_site_label
_atom_site_fract_x
_atom_site_fract_y
_atom_site_fract_z
Tb1 0.0000 0.0000 0.0000
Tb2 0.0000 0.0000 0.3567
Te1 0.0000 0.5000 0.3250
Se1 0.0000 0.5000 0.0000
```

Calculated powder diffraction line list
Compound: Tb5TeSe4
Radiation: Cu Kα
Structure: a DFT-relaxed cell (GGA-PBE, Alexandria)

Main lines, in order of rising 2θ (2θ = 10–90°):
Position (°2θ), I (rel.), h k l
30.43, 100, 3 1 -2
30.48, 50, 2 0 2
43.55, 36, 5 1 0
43.67, 36, 1 1 -4
43.77, 19, 0 2 0
54.28, 20, 2 2 2

Crystal structure
```
data_Tb5TeSe4
_chemical_formula_sum 'Tb10 Te2 Se8'
_cell_length_a 13.8451
_cell_length_b 4.1361
_cell_length_c 10.1834
_cell_angle_alpha 90.00
_cell_angle_beta 119.77
_cell_angle_gamma 90.00
_space_group_name_H-M_alt 'C 1 2/m 1'
_space_group_IT_number 12
loop_
_space_group_symop_operation_xyz
'x,y,z'
'-x,-y,-z'
'-x,y,-z'
'x,-y,z'
'x+1/2,y+1/2,z'
'-x+1/2,-y+1/2,-z'
'-x+1/2,y+1/2,-z'
'x+1/2,-y+1/2,z'
loop_
_atom_site_label
_atom_site_fract_x
_atom_site_fract_y
_atom_site_fract_z
Tb1 0.0000 0.0000 0.0000
Tb2 0.1130 0.5000 0.3930
Tb3 0.2092 0.0000 0.8153
Te1 0.0000 0.0000 0.5000
Se1 0.0938 0.5000 0.8926
Se2 0.2042 0.0000 0.2937
```

Calculated powder diffraction line list
Compound: Tb4Te3Se2
Radiation: Cu Kα
Structure: a DFT-relaxed cell (GGA-PBE, Alexandria)

Main lines, in order of rising 2θ (2θ = 10–90°):
Position (°2θ), I (rel.), h k l
29.01, 95, 3 1 0
30.19, 97, 2 0 -3
31.64, 100, 3 1 1
38.43, 75, 1 1 3
41.25, 64, 5 1 -2
44.75, 44, 0 2 0

Crystal structure
```
data_Tb4Te3Se2
_chemical_formula_sum 'Tb8 Te6 Se4'
_cell_length_a 14.3840
_cell_length_b 4.0499
_cell_length_c 9.2028
_cell_angle_alpha 90.00
_cell_angle_beta 99.12
_cell_angle_gamma 90.00
_space_group_name_H-M_alt 'C 1 2/m 1'
_space_group_IT_number 12
loop_
_space_group_symop_operation_xyz
'x,y,z'
'-x,-y,-z'
'-x,y,-z'
'x,-y,z'
'x+1/2,y+1/2,z'
'-x+1/2,-y+1/2,-z'
'-x+1/2,y+1/2,-z'
'x+1/2,-y+1/2,z'
loop_
_atom_site_label
_atom_site_fract_x
_atom_site_fract_y
_atom_site_fract_z
Tb1 0.0705 0.0000 0.1768
Tb2 0.1601 0.5000 0.6078
Te1 0.0000 0.0000 0.5000
Te2 0.1012 0.5000 0.9119
Se1 0.2031 0.5000 0.3095
```

Calculated powder diffraction line list
Compound: Tb5Te5Se
Radiation: Cu Kα
Structure: a DFT-relaxed cell (GGA-PBE, Alexandria)

Main lines, in order of rising 2θ (2θ = 10–90°):
Position (°2θ), I (rel.), h k l
29.20, 68, 0 2 0
29.36, 66, 4 0 -2
29.47, 65, 2 0 2
41.93, 100, 4 2 -2
42.08, 48, 2 0 -4
52.04, 52, 2 2 -4

Crystal structure
```
data_Tb5Te5Se
_chemical_formula_sum 'Tb10 Te10 Se2'
_cell_length_a 13.5907
_cell_length_b 6.1165
_cell_length_c 8.5911
_cell_angle_alpha 90.00
_cell_angle_beta 108.64
_cell_angle_gamma 90.00
_space_group_name_H-M_alt 'C 1 2/m 1'
_space_group_IT_number 12
loop_
_space_group_symop_operation_xyz
'x,y,z'
'-x,-y,-z'
'-x,y,-z'
'x,-y,z'
'x+1/2,y+1/2,z'
'-x+1/2,-y+1/2,-z'
'-x+1/2,y+1/2,-z'
'x+1/2,-y+1/2,z'
loop_
_atom_site_label
_atom_site_fract_x
_atom_site_fract_y
_atom_site_fract_z
Tb1 0.0000 0.0000 0.0000
Tb2 0.1566 0.5000 0.3192
Tb3 0.1613 0.5000 0.8409
Te1 0.0000 0.5000 0.5000
Te2 0.1615 0.0000 0.8201
Te3 0.1680 0.0000 0.3385
Se1 0.0000 0.5000 0.0000
```